Entry 1:
This entry pairs a crystal structure of BaDyP2Pt4 with its simulated powder XRD pattern. Radiation: copper Kα. Structure: the PBE geometry in Alexandria.

Unit cell a=4.103 b=4.103 c=10.299 alpha=90.00 beta=90.00 gamma=90.00
Space group P4/mmm (No. 123)
Asymmetric unit:
Ba (0.000, 0.000, 0.000) [1 per cell]
Dy (0.000, 0.000, 0.500) [1 per cell]
P (0.500, 0.500, 0.182) [2 per cell]
Pt (0.000, 0.500, 0.295) [4 per cell]

Principal peaks in the range 2θ from 15° to 90°, in order of rising 2θ:
2θ 17.22, 5.150 Å, I = 29, hkl 0 0 2; 2θ 25.95, 3.433 Å, I = 16, hkl 0 0 3; 2θ 27.80, 3.209 Å, I = 26, hkl 1 0 2; 2θ 35.51, 2.528 Å, I = 100, hkl 1 1 2; 2θ 40.72, 2.216 Å, I = 37, hkl 1 1 3; 2θ 44.14, 2.052 Å, I = 42, hkl 2 0 0; 2θ 54.65, 1.680 Å, I = 22, hkl 1 1 5; 2θ 75.57, 1.258 Å, I = 23, hkl 3 1 2

Entry 2:
This entry pairs a crystal structure of Zn2In2Cl7 with its simulated powder XRD pattern. Radiation: copper Kα. Structure: the PBE geometry in Alexandria.

Unit cell a=9.509 b=11.858 c=6.218 alpha=90.00 beta=100.84 gamma=90.00
Space group C2/m (No. 12)
Asymmetric unit:
Zn (0.228, 0.000, 0.411) [4 per cell]
In (0.000, 0.303, 0.000) [4 per cell]
Cl (0.000, 0.000, 0.500) [2 per cell]
Cl (0.111, 0.500, 0.262) [4 per cell]
Cl (0.249, 0.162, 0.220) [8 per cell]

Principal peaks in the range 2θ from 15° to 90°, in order of rising 2θ:
2θ 20.25, 4.386 Å, I = 45, hkl 1 1 1; 2θ 20.88, 4.254 Å, I = 100, hkl 0 2 1; 2θ 21.67, 4.100 Å, I = 51, hkl 2 0 -1; 2θ 24.26, 3.669 Å, I = 22, hkl 2 2 0; 2θ 29.47, 3.031 Å, I = 22, hkl 1 3 1; 2θ 30.62, 2.920 Å, I = 22, hkl 3 1 -1; 2θ 35.36, 2.539 Å, I = 21, hkl 2 2 -2; 2θ 39.90, 2.259 Å, I = 31, hkl 1 3 2

Entry 3:
This entry pairs a crystal structure of TlTe with its simulated powder XRD pattern. Radiation: copper Kα. Structure: the PBE geometry in Alexandria.

Unit cell a=5.104 b=5.645 c=6.120 alpha=114.22 beta=96.38 gamma=103.89
Space group P-1 (No. 2)
Asymmetric unit:
Tl (0.164, 0.381, 0.194) [2 per cell]
Te (0.441, 0.974, 0.727) [2 per cell]

Principal peaks in the range 2θ from 15° to 90°, in order of rising 2θ:
2θ 21.59, 4.116 Å, I = 66, hkl 1 0 -1; 2θ 24.58, 3.622 Å, I = 100, hkl 1 -1 1; 2θ 29.63, 3.015 Å, I = 57, hkl 0 1 1; 2θ 29.88, 2.990 Å, I = 95, hkl 1 1 0; 2θ 33.04, 2.711 Å, I = 60, hkl 0 0 2; 2θ 33.91, 2.643 Å, I = 59, hkl 1 1 -2; 2θ 35.59, 2.523 Å, I = 55, hkl 1 -2 0; 2θ 36.03, 2.493 Å, I = 55, hkl 2 -1 0

Entry 4:
This entry pairs a crystal structure of Nd7Cd2Rh2 with its simulated powder XRD pattern. Radiation: copper Kα. Structure: the PBE geometry in Alexandria.

Unit cell a=3.855 b=15.676 c=10.739 alpha=90.00 beta=90.00 gamma=90.00
Space group Imm2 (No. 44)
Asymmetric unit:
Nd (0.000, 0.000, 0.000) [2 per cell]
Nd (0.000, 0.170, 0.508) [4 per cell]
Nd (0.000, 0.344, 0.303) [4 per cell]
Nd (0.000, 0.358, 0.710) [4 per cell]
Cd (0.000, 0.000, 0.694) [2 per cell]
Cd (0.000, 0.500, 0.959) [2 per cell]
Rh (0.000, 0.192, 0.017) [4 per cell]

Principal peaks in the range 2θ from 15° to 90°, in order of rising 2θ:
2θ 27.08, 3.292 Å, I = 16, hkl 1 2 1; 2θ 29.08, 3.071 Å, I = 30, hkl 1 1 2; 2θ 30.27, 2.953 Å, I = 28, hkl 0 3 3; 2θ 33.36, 2.686 Å, I = 100, hkl 1 3 2; 2θ 33.66, 2.662 Å, I = 22, hkl 1 4 1; 2θ 34.18, 2.623 Å, I = 20, hkl 1 0 3; 2θ 34.32, 2.613 Å, I = 30, hkl 0 6 0; 2θ 47.16, 1.927 Å, I = 18, hkl 2 0 0

Entry 5:
This entry pairs a crystal structure of HoCdInHg with its simulated powder XRD pattern. Radiation: copper Kα. Structure: the PBE geometry in Alexandria.

Unit cell a=4.281 b=4.747 c=4.748 alpha=90.00 beta=90.00 gamma=90.00
Space group Pmmm (No. 47)
Asymmetric unit:
Ho (0.000, 0.000, 0.000) [1 per cell]
Cd (0.000, 0.500, 0.500) [1 per cell]
In (0.500, 0.000, 0.500) [1 per cell]
Hg (0.500, 0.500, 0.000) [1 per cell]

Principal peaks in the range 2θ from 15° to 90°, in order of rising 2θ:
2θ 33.93, 2.642 Å, I = 100, hkl 1 1 1; 2θ 37.90, 2.374 Å, I = 37, hkl 0 2 0; 2θ 42.22, 2.141 Å, I = 14, hkl 2 0 0; 2θ 54.68, 1.679 Å, I = 13, hkl 0 2 2; 2θ 58.02, 1.590 Å, I = 21, hkl 2 2 0; 2θ 65.93, 1.417 Å, I = 29, hkl 1 3 1; 2θ 71.41, 1.321 Å, I = 11, hkl 2 2 2; 2θ 71.89, 1.313 Å, I = 11, hkl 3 1 1

Entry 6:
This entry pairs a crystal structure of Pm5InPb2 with its simulated powder XRD pattern. Radiation: copper Kα. Structure: the PBE geometry in Alexandria.

Unit cell a=8.446 b=8.446 c=14.251 alpha=90.00 beta=90.00 gamma=90.00
Space group I4/mcm (No. 140)
Asymmetric unit:
Pm (0.000, 0.000, 0.000) [4 per cell]
Pm (0.162, 0.338, 0.151) [16 per cell]
In (0.000, 0.000, 0.250) [4 per cell]
Pb (0.140, 0.360, 0.500) [8 per cell]

Principal peaks in the range 2θ from 15° to 90°, in order of rising 2θ:
2θ 30.23, 2.957 Å, I = 100, hkl 2 1 3; 2θ 32.89, 2.723 Å, I = 11, hkl 2 0 4; 2θ 33.55, 2.671 Å, I = 45, hkl 3 1 0; 2θ 37.88, 2.375 Å, I = 11, hkl 0 0 6; 2θ 48.39, 1.881 Å, I = 12, hkl 4 1 3; 2θ 51.49, 1.775 Å, I = 11, hkl 3 1 6; 2θ 62.35, 1.489 Å, I = 17, hkl 5 2 3; 2θ 63.72, 1.460 Å, I = 9, hkl 2 1 9

Entry 7:
This entry pairs a crystal structure of Pr5Np3S8 with its simulated powder XRD pattern. Radiation: copper Kα. Structure: the PBE geometry in Alexandria.

Unit cell a=8.0655 b=8.0655 c=19.7863 alpha=90.00 beta=90.00 gamma=120.00
Space group R-3m (No. 166, hexagonal axes)
Asymmetric unit:
Pr (0.0000, 0.0000, 0.0000) [3 per cell]
Pr (0.0000, 0.0000, 0.5000) [3 per cell]
Pr (0.0000, 0.5000, 0.0000) [9 per cell]
Np (0.0000, 0.5000, 0.5000) [9 per cell]
S (0.0000, 0.0000, 0.2440) [6 per cell]
S (0.0076, 0.5038, 0.7538) [18 per cell]

Principal peaks in the range 2θ from 15° to 90°, in order of rising 2θ:
2θ 27.07, 3.294 Å, I = 88, hkl 0 0 6; 2θ 31.35, 2.853 Å, I = 100, hkl 0 2 4; 2θ 44.93, 2.017 Å, I = 73, hkl 2 2 0; 2θ 53.24, 1.720 Å, I = 45, hkl 0 2 10; 2θ 55.81, 1.647 Å, I = 26, hkl 4 0 4; 2θ 65.43, 1.427 Å, I = 12, hkl 0 4 8; 2θ 74.34, 1.276 Å, I = 33, hkl 2 4 4; 2θ 82.92, 1.164 Å, I = 19, hkl 6 0 0

Entry 8:
This entry pairs a crystal structure of SbPb6Au4 with its simulated powder XRD pattern. Radiation: copper Kα. Structure: the PBE geometry in Alexandria.

Unit cell a=9.9221 b=9.9221 c=7.2590 alpha=90.00 beta=90.00 gamma=120.00
Space group P6_3mc (No. 186)
Asymmetric unit:
Sb (0.3333, 0.6667, 0.0000) [2 per cell]
Pb (0.0685, 0.5342, 0.3590) [6 per cell]
Pb (0.1424, 0.2848, 0.6698) [6 per cell]
Au (0.1762, 0.3524, 0.0719) [6 per cell]
Au (0.3333, 0.6667, 0.6244) [2 per cell]

Principal peaks in the range 2θ from 15° to 90°, in order of rising 2θ:
2θ 30.15, 2.965 Å, I = 63, hkl 2 1 1; 2θ 32.29, 2.773 Å, I = 100, hkl 2 0 2; 2θ 33.64, 2.664 Å, I = 25, hkl 3 0 1; 2θ 36.21, 2.481 Å, I = 88, hkl 2 2 0; 2θ 42.90, 2.108 Å, I = 22, hkl 2 0 3; 2θ 44.23, 2.048 Å, I = 20, hkl 2 2 2; 2θ 49.30, 1.849 Å, I = 30, hkl 4 0 2; 2θ 54.90, 1.672 Å, I = 19, hkl 5 0 1

Entry 9:
This entry pairs a crystal structure of Tl6InAu8 with its simulated powder XRD pattern. Radiation: copper Kα. Structure: the PBE geometry in Alexandria.

Unit cell a=8.6713 b=8.6713 c=16.6370 alpha=90.00 beta=90.00 gamma=120.00
Space group R-3 (No. 148, hexagonal axes)
Asymmetric unit:
Tl (0.0126, 0.7739, 0.4091) [18 per cell]
In (0.0000, 0.0000, 0.0000) [3 per cell]
Au (0.0000, 0.0000, 0.1860) [6 per cell]
Au (0.0172, 0.5953, 0.5742) [18 per cell]

Principal peaks in the range 2θ from 15° to 90°, in order of rising 2θ:
2θ 31.99, 2.798 Å, I = 39, hkl 2 1 1; 2θ 32.28, 2.773 Å, I = 30, hkl 0 0 6; 2θ 33.36, 2.686 Å, I = 100, hkl 1 2 2; 2θ 35.87, 2.503 Å, I = 22, hkl 3 0 0; 2θ 38.40, 2.344 Å, I = 63, hkl 3 -1 4; 2θ 38.54, 2.336 Å, I = 50, hkl 1 1 6; 2θ 44.88, 2.020 Å, I = 21, hkl 4 -2 3; 2θ 66.90, 1.399 Å, I = 23, hkl 3 3 3

Entry 10:
This entry pairs a crystal structure of Ho4Tm5Sc2 with its simulated powder XRD pattern. Radiation: copper Kα. Structure: the PBE geometry in Alexandria.

Unit cell a=18.311 b=5.370 c=6.649 alpha=90.00 beta=93.56 gamma=90.00
Space group C2/m (No. 12)
Asymmetric unit:
Ho (0.060, 0.000, 0.202) [4 per cell]
Ho (0.182, 0.500, 0.374) [4 per cell]
Tm (0.000, 0.500, 0.500) [2 per cell]
Tm (0.130, 0.000, 0.704) [4 per cell]
Tm (0.248, 0.500, 0.867) [4 per cell]
Sc (0.076, 0.500, 0.943) [4 per cell]

Principal peaks in the range 2θ from 15° to 90°, in order of rising 2θ:
2θ 29.56, 3.022 Å, I = 23, hkl 5 1 0; 2θ 31.91, 2.805 Å, I = 76, hkl 5 1 -1; 2θ 32.35, 2.768 Å, I = 100, hkl 1 1 2; 2θ 33.13, 2.704 Å, I = 44, hkl 6 0 1; 2θ 33.37, 2.685 Å, I = 43, hkl 0 2 0; 2θ 47.72, 1.906 Å, I = 25, hkl 6 2 1; 2θ 58.72, 1.572 Å, I = 14, hkl 5 3 -1; 2θ 58.98, 1.566 Å, I = 28, hkl 1 3 2

Entry 11:
This entry pairs a crystal structure of MnAl2Pd3 with its simulated powder XRD pattern. Radiation: copper Kα. Structure: the PBE geometry in Alexandria.

Unit cell a=3.082 b=3.082 c=9.308 alpha=90.00 beta=90.00 gamma=90.00
Space group P4/mmm (No. 123)
Asymmetric unit:
Mn (0.000, 0.000, 0.000) [1 per cell]
Al (0.000, 0.000, 0.333) [2 per cell]
Pd (0.500, 0.500, 0.177) [2 per cell]
Pd (0.500, 0.500, 0.500) [1 per cell]

Principal peaks in the range 2θ from 15° to 90°, in order of rising 2θ:
2θ 28.77, 3.103 Å, I = 16, hkl 0 0 3; 2θ 28.97, 3.082 Å, I = 33, hkl 1 0 0; 2θ 41.29, 2.187 Å, I = 100, hkl 1 0 3; 2θ 41.43, 2.179 Å, I = 50, hkl 1 1 0; 2θ 51.23, 1.783 Å, I = 13, hkl 1 1 3; 2θ 60.04, 1.541 Å, I = 16, hkl 2 0 0; 2θ 75.18, 1.264 Å, I = 15, hkl 1 1 6; 2θ 75.47, 1.260 Å, I = 32, hkl 2 1 3

Entry 12:
This entry pairs a crystal structure of Cs4YU3O12 with its simulated powder XRD pattern. Radiation: copper Kα. Structure: the PBE geometry in Alexandria.

Unit cell a=8.834 b=8.834 c=8.834 alpha=90.00 beta=90.00 gamma=90.00
Space group Im-3m (No. 229)
Asymmetric unit:
Cs (0.250, 0.250, 0.250) [8 per cell]
Y (0.000, 0.000, 0.000) [2 per cell]
U (0.000, 0.000, 0.500) [6 per cell]
O (0.000, 0.000, 0.268) [12 per cell]
O (0.000, 0.250, 0.500) [12 per cell]

Principal peaks in the range 2θ from 15° to 90°, in order of rising 2θ:
2θ 20.10, 4.417 Å, I = 8, hkl 2 0 0; 2θ 28.58, 3.123 Å, I = 100, hkl 2 2 0; 2θ 40.86, 2.209 Å, I = 28, hkl 4 0 0; 2θ 50.62, 1.803 Å, I = 42, hkl 4 2 2; 2θ 59.16, 1.562 Å, I = 18, hkl 4 4 0; 2θ 67.00, 1.397 Å, I = 19, hkl 6 2 0; 2θ 74.40, 1.275 Å, I = 6, hkl 4 4 4; 2θ 81.54, 1.181 Å, I = 23, hkl 6 4 2